For Tb8Ag2Rh3, the PBE geometry in Alexandria gives the theoretical powder diffractogram in this record (Cu Kα (weighted mean of Kα1 and Kα2)).
Neutral-atom scattering factors, no anomalous dispersion.

Main lines, most intense first (10 to 90 degrees two-theta):
2θ = 36.13°, 2.486 Å, intensity 100, (2 4 1)
2θ = 36.30°, 2.475 Å, intensity 25, (4 0 0)
2θ = 36.82°, 2.441 Å, intensity 25, (0 0 2)
2θ = 25.63°, 3.476 Å, intensity 20, (2 0 1)
2θ = 65.20°, 1.431 Å, intensity 18, (6 4 1)
2θ = 52.67°, 1.738 Å, intensity 17, (4 0 2)
2θ = 65.88°, 1.418 Å, intensity 17, (2 4 3)
2θ = 76.67°, 1.243 Å, intensity 10, (4 8 2)
2θ = 25.04°, 3.557 Å, intensity 10, (0 4 0)
2θ = 51.38°, 1.778 Å, intensity 8, (0 8 0)

Crystal structure
Cell lengths 9.899, 14.227, 4.882 Å; angles 90.00, 90.00, 90.00 degrees
Space group Cmmm (No. 65)
Unique sites:
Tb 0.000 0.115 0.000 x4
Tb 0.000 0.382 0.000 x4
Tb 0.248 0.383 0.500 x8
Ag 0.000 0.245 0.500 x4
Rh 0.000 0.500 0.500 x2
Rh 0.249 0.000 0.000 x4

---

For Zr2TlC, the PBE geometry in Alexandria gives the theoretical powder diffractogram in this record (Cu Kα (weighted mean of Kα1 and Kα2)).
Neutral-atom scattering factors, no anomalous dispersion.

Main lines, most intense first (10 to 90 degrees two-theta):
2θ = 35.36°, 2.539 Å, intensity 100, (1 0 3)
2θ = 30.44°, 2.937 Å, intensity 22, (1 0 0)
2θ = 35.57°, 2.524 Å, intensity 21, (0 0 6)
2θ = 54.08°, 1.696 Å, intensity 21, (1 1 0)
2θ = 66.42°, 1.408 Å, intensity 20, (1 1 6)
2θ = 63.73°, 1.460 Å, intensity 19, (1 0 9)
2θ = 66.29°, 1.410 Å, intensity 16, (2 0 3)
2θ = 47.50°, 1.914 Å, intensity 16, (1 0 6)
2θ = 11.69°, 7.572 Å, intensity 14, (0 0 2)
2θ = 31.02°, 2.883 Å, intensity 11, (1 0 1)

Crystal structure
Cell lengths 3.3913, 3.3913, 15.1448 Å; angles 90.00, 90.00, 120.00 degrees
Space group P6_3/mmc (No. 194)
Unique sites:
Zr 0.3333 0.6667 0.0813 x4
Tl 0.3333 0.6667 0.7500 x2
C 0.0000 0.0000 0.0000 x2

---

- Which formula does entry 2 have?
  Zr2TlC

---

What did the second record say?
For Zr2TlC, the PBE geometry in Alexandria gives the theoretical powder diffractogram in this record (Cu Kα (weighted mean of Kα1 and Kα2)).
Neutral-atom scattering factors, no anomalous dispersion.

Main lines, most intense first (10 to 90 degrees two-theta):
2θ = 35.36°, 2.539 Å, intensity 100, (1 0 3)
2θ = 30.44°, 2.937 Å, intensity 22, (1 0 0)
2θ = 35.57°, 2.524 Å, intensity 21, (0 0 6)
2θ = 54.08°, 1.696 Å, intensity 21, (1 1 0)
2θ = 66.42°, 1.408 Å, intensity 20, (1 1 6)
2θ = 63.73°, 1.460 Å, intensity 19, (1 0 9)
2θ = 66.29°, 1.410 Å, intensity 16, (2 0 3)
2θ = 47.50°, 1.914 Å, intensity 16, (1 0 6)
2θ = 11.69°, 7.572 Å, intensity 14, (0 0 2)
2θ = 31.02°, 2.883 Å, intensity 11, (1 0 1)

Crystal structure
Cell lengths 3.3913, 3.3913, 15.1448 Å; angles 90.00, 90.00, 120.00 degrees
Space group P6_3/mmc (No. 194)
Unique sites:
Zr 0.3333 0.6667 0.0813 x4
Tl 0.3333 0.6667 0.7500 x2
C 0.0000 0.0000 0.0000 x2